Computed XRD peak list
Compound: DyGa2Pd
Radiation: copper Kα
Structure: the PBE geometry in the Materials Project

Principal peaks in the range 10 to 90 degrees two-theta, sorted by position:
| Position (°2θ) | Rel. int. | h k l |
| --- | --- | --- |
| 27.05 | 184 | 0 0 2 |
| 35.00 | 1000 | 1 1 2 |
| 35.19 | 173 | 0 4 0 |
| 35.92 | 970 | 1 3 1 |
| 37.82 | 356 | 0 4 1 |
| 40.53 | 459 | 2 0 0 |
| 43.30 | 309 | 1 3 2 |
| 44.91 | 175 | 0 2 3 |
| 56.64 | 219 | 2 4 1 |
| 70.70 | 234 | 3 3 1 |

Structural model:
Unit cell a=4.451 b=10.201 c=6.593 alpha=90.00 beta=90.00 gamma=90.00
Space group Cmcm (No. 63)
Inequivalent atoms, fractional coordinates:
Dy 0.000 0.088 0.250
Ga 0.000 0.372 0.053
Pd 0.000 0.200 0.750

Computed XRD peak list
Compound: SmAl2Zn2
Radiation: copper Kα
Structure: the PBE geometry in the Materials Project

Principal peaks in the range 10 to 90 degrees two-theta, sorted by position:
| Position (°2θ) | Rel. int. | h k l |
| --- | --- | --- |
| 16.12 | 385 | 0 0 2 |
| 30.33 | 691 | 1 1 0 |
| 32.53 | 1000 | 1 0 3 |
| 34.53 | 911 | 1 1 2 |
| 43.43 | 543 | 2 0 0 |
| 46.68 | 707 | 1 0 5 |
| 55.30 | 448 | 2 1 3 |
| 63.10 | 174 | 2 2 0 |
| 65.66 | 456 | 2 1 5 |
| 73.97 | 195 | 3 1 2 |

Structural model:
Unit cell a=4.167 b=4.167 c=10.999 alpha=90.00 beta=90.00 gamma=90.00
Space group I4/mmm (No. 139)
Inequivalent atoms, fractional coordinates:
Sm 0.000 0.000 0.000
Al 0.000 0.500 0.250
Zn 0.000 0.000 0.390

Computed XRD peak list
Compound: TbGePd
Radiation: copper Kα
Structure: the PBE geometry in the Materials Project

Principal peaks in the range 10 to 90 degrees two-theta, sorted by position:
| Position (°2θ) | Rel. int. | h k l |
| --- | --- | --- |
| 23.23 | 87 | 1 0 1 |
| 33.47 | 213 | 1 3 2 |
| 34.57 | 1000 | 1 6 1 |
| 40.10 | 111 | 0 9 1 |
| 40.82 | 619 | 2 0 0 |
| 54.53 | 211 | 2 6 2 |
| 58.51 | 72 | 2 9 1 |
| 66.46 | 123 | 1 9 4 |
| 67.97 | 108 | 2 12 0 |
| 70.26 | 133 | 3 6 1 |

Structural model:
Unit cell a=4.427 b=21.175 c=7.647 alpha=90.00 beta=90.00 gamma=90.00
Space group Imm2 (No. 44)
Inequivalent atoms, fractional coordinates:
Tb 0.000 0.000 0.000
Tb 0.000 0.166 0.917
Tb 0.000 0.333 0.994
Tb 0.000 0.500 0.917
Ge 0.000 0.094 0.297
Ge 0.000 0.265 0.616
Ge 0.000 0.435 0.297
Pd 0.000 0.072 0.628
Pd 0.000 0.234 0.287
Pd 0.000 0.396 0.625

Computed XRD peak list
Compound: Zr3Co
Radiation: copper Kα
Structure: the PBE geometry in the Materials Project

Principal peaks in the range 10 to 90 degrees two-theta, sorted by position:
| Position (°2θ) | Rel. int. | h k l |
| --- | --- | --- |
| 24.90 | 54 | 1 0 1 |
| 34.20 | 242 | 2 0 0 |
| 36.77 | 268 | 0 0 2 |
| 38.98 | 1000 | 2 0 1 |
| 51.09 | 149 | 2 0 2 |
| 61.23 | 162 | 2 2 0 |
| 67.70 | 184 | 2 0 3 |
| 73.60 | 183 | 2 2 2 |
| 75.01 | 128 | 4 0 1 |
| 83.72 | 31 | 4 0 2 |

Structural model:
Unit cell a=6.0551 b=6.0551 c=4.8887 alpha=90.00 beta=90.00 gamma=120.00
Space group P6_3/mmc (No. 194)
Inequivalent atoms, fractional coordinates:
Zr 0.1754 0.3508 0.2500
Co 0.3333 0.6667 0.7500

Computed XRD peak list
Compound: Al
Radiation: copper Kα
Structure: the PBE geometry in the Materials Project

Principal peaks in the range 10 to 90 degrees two-theta, sorted by position:
| Position (°2θ) | Rel. int. | h k l |
| --- | --- | --- |
| 36.31 | 81 | 1 0 0 |
| 37.62 | 439 | 1 0 1 |
| 38.74 | 358 | 0 0 4 |
| 41.34 | 1000 | 1 0 2 |
| 46.99 | 228 | 1 0 3 |
| 62.48 | 96 | 1 0 5 |
| 65.32 | 225 | 1 1 0 |
| 71.89 | 190 | 1 0 6 |
| 78.61 | 262 | 1 1 4 |
| 80.30 | 139 | 2 0 2 |

Structural model:
Unit cell a=2.8571 b=2.8571 c=9.2970 alpha=90.00 beta=90.00 gamma=120.00
Space group P6_3/mmc (No. 194)
Inequivalent atoms, fractional coordinates:
Al 0.0000 0.0000 0.0000
Al 0.3333 0.6667 0.2500

Computed XRD peak list
Compound: Fe5SiP
Radiation: copper Kα
Structure: the PBE geometry in the Materials Project

Principal peaks in the range 10 to 90 degrees two-theta, sorted by position:
| Position (°2θ) | Rel. int. | h k l |
| --- | --- | --- |
| 42.00 | 370 | 1 5 -1 |
| 42.89 | 156 | 2 2 -4 |
| 43.17 | 387 | 0 4 4 |
| 45.80 | 291 | 2 0 -5 |
| 45.95 | 542 | 1 3 -5 |
| 46.16 | 825 | 1 3 5 |
| 47.08 | 1000 | 3 3 0 |
| 47.24 | 551 | 0 6 0 |
| 51.54 | 123 | 3 1 4 |
| 68.20 | 111 | 4 0 5 |

Structural model:
Unit cell a=6.694 b=11.543 c=12.216 alpha=90.00 beta=90.48 gamma=90.00
Space group Cm (No. 8)
Inequivalent atoms, fractional coordinates:
Fe 0.000 0.000 0.000
Fe 0.001 0.000 0.501
Fe 0.002 0.333 0.630
Fe 0.003 0.339 0.135
Fe 0.121 0.500 0.475
Fe 0.123 0.121 0.668
Fe 0.126 0.500 0.261
Fe 0.156 0.152 0.873
Fe 0.187 0.188 0.263
Fe 0.191 0.190 0.475
Fe 0.195 0.500 0.876
Fe 0.245 0.000 0.172
Fe 0.259 0.500 0.668
Fe 0.303 0.000 0.379
Fe 0.311 0.310 0.758
Fe 0.323 0.314 0.967
Fe 0.350 0.348 0.377
Fe 0.369 0.369 0.167
Fe 0.376 0.000 0.977
Fe 0.382 0.000 0.759
Si 0.000 0.334 0.346
Si 0.003 0.334 0.846
Si 0.168 0.167 0.066
P 0.174 0.500 0.064
P 0.332 0.000 0.568
P 0.336 0.335 0.567
P 0.498 0.500 0.804
P 0.499 0.500 0.302

Computed XRD peak list
Compound: SmAl8SiAu4
Radiation: copper Kα
Structure: the PBE geometry in the Materials Project

Principal peaks in the range 10 to 90 degrees two-theta, sorted by position:
| Position (°2θ) | Rel. int. | h k l |
| --- | --- | --- |
| 24.18 | 914 | 1 1 4 |
| 28.01 | 1000 | 1 1 6 |
| 29.36 | 636 | 2 0 0 |
| 38.97 | 310 | 2 0 8 |
| 42.00 | 609 | 2 2 0 |
| 43.57 | 556 | 2 0 10 |
| 49.05 | 285 | 3 1 4 |
| 49.65 | 455 | 1 1 14 |
| 51.24 | 386 | 3 1 6 |
| 67.00 | 400 | 3 1 14 |

Structural model:
Unit cell a=6.085 b=6.085 c=28.427 alpha=90.00 beta=90.00 gamma=90.00
Space group I4/mmm (No. 139)
Inequivalent atoms, fractional coordinates:
Sm 0.000 0.500 0.250
Al 0.249 0.249 0.157
Al 0.250 0.250 0.053
Si 0.000 0.000 0.207
Au 0.000 0.000 0.000
Au 0.000 0.000 0.293
Au 0.000 0.000 0.500
Au 0.000 0.500 0.105

Number 2 is which compound? SmAl2Zn2